Starting from DFT lattice parameters and positions (GGA-PBE), the X-ray diffraction stick pattern of Na2CaReO4 was computed for λ = 1.5418 Å (Cu Kα).

The 10 most intense peaks (10° ≤ 2θ ≤ 80°), sorted by position:
Position (°2θ)  Rel. int.
20.1  100
21.4  27
26.4  19
30.5  30
34.3  67
36.7  35
43.1  14
43.6  22
56.6  33
58.3  13

Lattice parameters (Å, degrees): 5.3474 5.3474 5.3474 113.42 113.42 101.84
Fractional positions:
Na: 0.0000 0.0000 0.0000
Na: 0.7500 0.2500 0.5000
Ca: 0.2500 0.7500 0.5000
Re: 0.5000 0.5000 0.0000
O: 0.2435 0.3350 0.5525
O: 0.3090 0.7565 0.0914
O: 0.6650 0.2176 0.9086
O: 0.7824 0.6910 0.4475